1.
# Tb3Ga2Os
Computed powder diffractogram, CuKα. Input: a cell relaxed with GGA-PBE.
Neutral-atom scattering factors, no anomalous dispersion.

Main lines, in order of rising 2θ (5° ≤ 2θ ≤ 70°):
2θ/deg	intensity	(hkl)
10.86	33	1 0 1
16.79	25	2 0 1
26.74	34	2 1 1
30.22	30	2 1 2
31.93	100	0 1 3
33.16	22	1 0 4
34.63	60	3 1 2
37.42	61	4 1 1
39.24	22	3 1 3
41.57	40	2 1 4
42.04	54	0 2 0
43.50	24	2 0 5

Cell and atoms:
```
data_Tb3Ga2Os
_chemical_formula_sum 'Tb12 Ga8 Os4'
_cell_length_a 12.0106
_cell_length_b 4.2985
_cell_length_c 11.0907
_cell_angle_alpha 90.00
_cell_angle_beta 90.00
_cell_angle_gamma 90.00
_space_group_name_H-M_alt 'P n m a'
_space_group_IT_number 62
_space_group_name_Hall '-P 2ac 2n'
loop_
_atom_site_label
_atom_site_type_symbol
_atom_site_fract_x
_atom_site_fract_y
_atom_site_fract_z
_atom_site_occupancy
Tb1 Tb 0.0522 0.2500 0.1182 1
Tb2 Tb 0.1181 0.7500 0.5546 1
Tb3 Tb 0.2335 0.2500 0.7925 1
Ga1 Ga 0.0091 0.7500 0.3023 1
Ga2 Ga 0.1965 0.7500 0.9938 1
Os1 Os 0.1186 0.2500 0.3692 1
```

***

2.
# Li2HgIr
Computed powder diffractogram, CuKα. Input: a cell relaxed with GGA-PBE.
Neutral-atom scattering factors, no anomalous dispersion.

Main lines, in order of rising 2θ (5° ≤ 2θ ≤ 70°):
2θ/deg	intensity	(hkl)
22.99	100	0 2 0
31.61	46	2 0 0
32.24	43	0 0 1
39.44	56	2 2 0
39.97	54	0 2 1
45.78	37	2 0 1
46.97	17	0 4 0
51.83	47	2 2 1
57.72	17	2 4 0
58.11	17	0 4 1
66.01	6	4 0 0
67.68	23	2 4 1

Cell and atoms:
```
data_Li2HgIr
_chemical_formula_sum 'Li4 Hg2 Ir2'
_cell_length_a 5.6609
_cell_length_b 7.7385
_cell_length_c 2.7764
_cell_angle_alpha 90.00
_cell_angle_beta 90.00
_cell_angle_gamma 90.00
_space_group_name_H-M_alt 'C m m m'
_space_group_IT_number 65
_space_group_name_Hall '-C 2 2'
loop_
_atom_site_label
_atom_site_type_symbol
_atom_site_fract_x
_atom_site_fract_y
_atom_site_fract_z
_atom_site_occupancy
Li1 Li 0.2500 0.2500 0.0000 1
Hg1 Hg 0.0000 0.0000 0.5000 1
Ir1 Ir 0.0000 0.5000 0.5000 1
```

***

Please write out number 1 again, unchanged.
# Tb3Ga2Os
Computed powder diffractogram, CuKα. Input: a cell relaxed with GGA-PBE.
Neutral-atom scattering factors, no anomalous dispersion.

Main lines, in order of rising 2θ (5° ≤ 2θ ≤ 70°):
2θ/deg	intensity	(hkl)
10.86	33	1 0 1
16.79	25	2 0 1
26.74	34	2 1 1
30.22	30	2 1 2
31.93	100	0 1 3
33.16	22	1 0 4
34.63	60	3 1 2
37.42	61	4 1 1
39.24	22	3 1 3
41.57	40	2 1 4
42.04	54	0 2 0
43.50	24	2 0 5

Cell and atoms:
```
data_Tb3Ga2Os
_chemical_formula_sum 'Tb12 Ga8 Os4'
_cell_length_a 12.0106
_cell_length_b 4.2985
_cell_length_c 11.0907
_cell_angle_alpha 90.00
_cell_angle_beta 90.00
_cell_angle_gamma 90.00
_space_group_name_H-M_alt 'P n m a'
_space_group_IT_number 62
_space_group_name_Hall '-P 2ac 2n'
loop_
_atom_site_label
_atom_site_type_symbol
_atom_site_fract_x
_atom_site_fract_y
_atom_site_fract_z
_atom_site_occupancy
Tb1 Tb 0.0522 0.2500 0.1182 1
Tb2 Tb 0.1181 0.7500 0.5546 1
Tb3 Tb 0.2335 0.2500 0.7925 1
Ga1 Ga 0.0091 0.7500 0.3023 1
Ga2 Ga 0.1965 0.7500 0.9938 1
Os1 Os 0.1186 0.2500 0.3692 1
```

***

Number 2 is which compound? Li2HgIr